No. 1
The following is a simulated powder X-ray diffraction pattern of MgFe2Ni2O6. It was derived from a DFT-relaxed cell (GGA+U, the Materials Project), using λ = 1.5418 Å (Cu Kα).

Top 10 peaks for 2θ = 15–90°, sorted by position:
| 2θ/deg | I/Imax |
| --- | --- |
| 20.79 | 41 |
| 23.28 | 11 |
| 34.81 | 87 |
| 36.44 | 50 |
| 39.45 | 17 |
| 51.28 | 100 |
| 62.42 | 34 |
| 63.48 | 16 |
| 73.53 | 19 |
| 84.92 | 21 |

```
MgFe2Ni2O6
1.0
2.5770 1.4878 4.9309
-2.5770 1.4878 4.9309
0.0000 -2.9757 4.9309
Mg Fe Ni O
1 2 2 6
direct
0.0000 0.0000 0.0000
0.5316 0.5316 0.5316
0.7197 0.7197 0.7197
0.1887 0.1887 0.1887
0.3577 0.3577 0.3577
0.1251 0.4249 0.7733
0.3158 0.9311 0.5954
0.4249 0.7733 0.1251
0.5954 0.3158 0.9311
0.7733 0.1251 0.4249
0.9311 0.5954 0.3158
```

No. 2
The following is a simulated powder X-ray diffraction pattern of LiMn2P5O15. It was derived from a DFT-relaxed cell (GGA+U, the Materials Project), using λ = 1.5418 Å (Cu Kα).

Top 10 peaks for 2θ = 15–90°, sorted by position:
| 2θ/deg | I/Imax |
| --- | --- |
| 15.69 | 75 |
| 16.01 | 76 |
| 20.02 | 46 |
| 25.16 | 27 |
| 25.90 | 100 |
| 27.19 | 98 |
| 27.58 | 42 |
| 27.81 | 63 |
| 31.47 | 48 |
| 38.86 | 38 |

```
LiMn2P5O15
1.0
3.9488 -6.1354 0.0000
3.9488 6.1354 0.0000
-1.5329 0.0000 12.8317
Li Mn P O
2 4 10 30
direct
0.0836 0.9164 0.5000
0.9164 0.0836 0.0000
0.1730 0.2392 0.6973
0.2392 0.1730 0.1973
0.2719 0.7403 0.0245
0.7403 0.2719 0.5245
0.0271 0.7660 0.2536
0.1994 0.4148 0.4815
0.3174 0.9401 0.7845
0.4148 0.1994 0.9815
0.5608 0.6467 0.2262
0.5799 0.8010 0.4479
0.6467 0.5608 0.7262
0.7660 0.0271 0.7536
0.8010 0.5799 0.9479
0.9401 0.3174 0.2845
0.0136 0.5433 0.2508
0.0497 0.4890 0.5208
0.1225 0.8939 0.3535
0.1407 0.3386 0.3585
0.1429 0.8575 0.1613
0.1914 0.9497 0.6893
0.2154 0.2409 0.5337
0.2409 0.2154 0.0337
0.2572 0.7613 0.8457
0.3386 0.1407 0.8585
0.4186 0.5910 0.4865
0.4281 0.4930 0.7457
0.4722 0.6951 0.1301
0.4890 0.0497 0.0208
0.4930 0.4281 0.2457
0.5179 0.7693 0.3229
0.5269 0.9684 0.4907
0.5433 0.0136 0.7508
0.5910 0.4186 0.9865
0.6951 0.4722 0.6301
0.7419 0.8015 0.7264
0.7613 0.2572 0.3457
0.7693 0.5179 0.8229
0.7853 0.8108 0.4722
0.8015 0.7419 0.2264
0.8108 0.7853 0.9722
0.8575 0.1429 0.6613
0.8939 0.1225 0.8535
0.9497 0.1914 0.1893
0.9684 0.5269 0.9907
```

No. 3
The following is a simulated powder X-ray diffraction pattern of LiCoBO3. It was derived from a DFT-relaxed cell (GGA+U, the Materials Project), using λ = 1.5418 Å (Cu Kα).

Top 10 peaks for 2θ = 15–90°, sorted by position:
| 2θ/deg | I/Imax |
| --- | --- |
| 21.58 | 100 |
| 28.20 | 44 |
| 33.23 | 22 |
| 35.43 | 11 |
| 35.59 | 23 |
| 35.95 | 24 |
| 36.15 | 12 |
| 37.83 | 28 |
| 43.99 | 13 |
| 58.31 | 12 |

```
LiCoBO3
1.0
3.1654 0.0000 0.0000
0.2666 14.2577 0.0000
0.2291 7.1147 12.3647
Li Co B O
9 9 9 27
direct
0.0000 0.0000 0.0000
0.0006 0.0573 0.2905
0.0051 0.0186 0.6221
0.0087 0.6791 0.6496
0.0602 0.6830 0.2952
0.9492 0.3543 0.3106
0.9793 0.3680 0.6262
0.9867 0.3485 0.9425
0.9890 0.7078 0.9610
0.4499 0.5521 0.1818
0.4699 0.2727 0.1676
0.4845 0.5760 0.8625
0.4853 0.2248 0.8509
0.4965 0.2383 0.5588
0.5063 0.9197 0.8524
0.5103 0.9103 0.5180
0.5233 0.9077 0.2152
0.5538 0.6150 0.4932
0.0004 0.1182 0.7603
0.0290 0.8171 0.4123
0.4905 0.1489 0.4068
0.4952 0.1350 0.0780
0.4982 0.4689 0.4109
0.5012 0.4639 0.7353
0.5028 0.8016 0.7443
0.5056 0.7929 0.0910
0.9647 0.4701 0.0612
0.0077 0.0160 0.7708
0.0139 0.8282 0.5036
0.0147 0.9064 0.3086
0.0585 0.7151 0.4244
0.3925 0.7032 0.0829
0.4034 0.4427 0.3327
0.4465 0.0561 0.3997
0.4516 0.4570 0.8353
0.4557 0.2502 0.3142
0.4642 0.3711 0.7272
0.4875 0.2338 0.9827
0.4928 0.7838 0.8495
0.4977 0.0394 0.0746
0.5002 0.1318 0.1768
0.5002 0.7143 0.7265
0.5095 0.3896 0.5181
0.5150 0.9067 0.6572
0.5539 0.7844 0.1917
0.5621 0.8920 0.9981
0.5760 0.1399 0.5064
0.5825 0.5746 0.3821
0.5940 0.5630 0.6444
0.9488 0.4825 0.1511
0.9681 0.3662 0.0757
0.9777 0.5613 0.9590
0.9942 0.1325 0.8498
0.9987 0.2081 0.6584
```

No. 4
The following is a simulated powder X-ray diffraction pattern of Mn2Nb4Zn3O16. It was derived from a DFT-relaxed cell (GGA+U, the Materials Project), using λ = 1.5418 Å (Cu Kα).

Top 10 peaks for 2θ = 15–90°, sorted by position:
| 2θ/deg | I/Imax |
| --- | --- |
| 19.41 | 46 |
| 28.53 | 88 |
| 31.32 | 82 |
| 31.77 | 100 |
| 33.24 | 44 |
| 34.49 | 69 |
| 34.57 | 85 |
| 35.29 | 58 |
| 51.52 | 54 |
| 62.95 | 50 |

```
Mn2Nb4Zn3O16
1.0
5.1907 0.0000 0.0000
0.1532 5.9429 0.0000
0.0507 2.1319 9.7216
Mn Nb Zn O
2 4 3 16
direct
0.0000 0.0000 0.0000
0.4884 0.7072 0.9969
0.0069 0.6482 0.7422
0.4864 0.0651 0.2469
0.5145 0.3073 0.7749
0.9915 0.4153 0.2170
0.0136 0.2331 0.5284
0.4696 0.4914 0.4386
0.5261 0.9155 0.5587
0.1057 0.5185 0.3755
0.1666 0.7934 0.8891
0.1819 0.0985 0.3459
0.1871 0.3191 0.8580
0.3159 0.3993 0.1267
0.3236 0.9166 0.1051
0.3297 0.6398 0.6446
0.3906 0.2020 0.6068
0.5960 0.8054 0.3829
0.6683 0.5586 0.8618
0.6802 0.2820 0.3489
0.6865 0.0494 0.8839
0.7996 0.6733 0.1083
0.8277 0.4325 0.6455
0.8308 0.1588 0.1293
0.8840 0.9260 0.6280
```

No. 5
The following is a simulated powder X-ray diffraction pattern of Co2P5O16. It was derived from a DFT-relaxed cell (GGA+U, the Materials Project), using λ = 1.5418 Å (Cu Kα).

Top 10 peaks for 2θ = 15–90°, sorted by position:
| 2θ/deg | I/Imax |
| --- | --- |
| 16.45 | 36 |
| 19.18 | 73 |
| 23.04 | 100 |
| 23.20 | 32 |
| 24.74 | 21 |
| 28.95 | 34 |
| 32.96 | 30 |
| 33.07 | 23 |
| 33.52 | 24 |
| 34.00 | 22 |

```
Co2P5O16
1.0
4.8891 0.0000 0.0000
0.0000 6.6266 0.0000
-0.3825 0.0000 18.5076
Co P O
4 10 32
direct
0.2412 0.1775 0.4067
0.2412 0.8225 0.9067
0.7588 0.1775 0.0933
0.7588 0.8225 0.5933
0.0000 0.2531 0.2500
0.0000 0.7469 0.7500
0.2490 0.1244 0.5744
0.2490 0.8756 0.0744
0.2690 0.4525 0.1293
0.2690 0.5475 0.6293
0.7310 0.4525 0.3707
0.7310 0.5475 0.8707
0.7510 0.1244 0.9256
0.7510 0.8756 0.4256
0.0543 0.0554 0.9323
0.0543 0.9446 0.4323
0.0702 0.3472 0.0785
0.0702 0.6528 0.5785
0.1484 0.1288 0.3065
0.1484 0.8712 0.8065
0.2077 0.4059 0.2127
0.2077 0.5941 0.7127
0.2258 0.3105 0.6313
0.2258 0.6895 0.1313
0.3494 0.2158 0.5042
0.3494 0.7842 0.0042
0.4278 0.4200 0.3825
0.4278 0.5800 0.8825
0.4359 0.0251 0.1131
0.4359 0.9749 0.6131
0.5641 0.0251 0.3869
0.5641 0.9749 0.8869
0.5722 0.4200 0.1175
0.5722 0.5800 0.6175
0.6506 0.2158 0.9958
0.6506 0.7842 0.4958
0.7742 0.3105 0.8687
0.7742 0.6895 0.3687
0.7923 0.4059 0.2873
0.7923 0.5941 0.7873
0.8516 0.1288 0.1935
0.8516 0.8712 0.6935
0.9298 0.3472 0.4215
0.9298 0.6528 0.9215
0.9457 0.0554 0.5677
0.9457 0.9446 0.0677
```

No. 6
The following is a simulated powder X-ray diffraction pattern of ZnW4O9. It was derived from a DFT-relaxed cell (GGA+U, the Materials Project), using λ = 1.5418 Å (Cu Kα).

Top 10 peaks for 2θ = 15–90°, sorted by position:
| 2θ/deg | I/Imax |
| --- | --- |
| 22.93 | 63 |
| 28.84 | 100 |
| 29.38 | 16 |
| 34.74 | 24 |
| 37.16 | 58 |
| 41.24 | 44 |
| 46.84 | 18 |
| 47.71 | 29 |
| 55.95 | 32 |
| 64.16 | 23 |

```
ZnW4O9
1.0
9.7895 0.0000 0.0000
0.0000 9.7895 0.0000
0.0000 0.0000 3.8788
Zn W O
2 8 18
direct
0.2500 0.2500 0.0192
0.7500 0.7500 0.9808
0.0326 0.6646 0.4984
0.1646 0.9674 0.5016
0.3354 0.5326 0.5016
0.4674 0.8354 0.4984
0.5326 0.1646 0.5016
0.6646 0.4674 0.4984
0.8354 0.0326 0.4984
0.9674 0.3354 0.5016
0.0246 0.1319 0.5015
0.0362 0.6668 0.0002
0.1319 0.4754 0.5015
0.1668 0.9638 0.9998
0.2500 0.7500 0.5000
0.3332 0.5362 0.9998
0.3681 0.0246 0.5015
0.4638 0.8332 0.0002
0.4754 0.3681 0.5015
0.5246 0.6319 0.4985
0.5362 0.1668 0.9998
0.6319 0.9754 0.4985
0.6668 0.4638 0.0002
0.7500 0.2500 0.5000
0.8332 0.0362 0.0002
0.8681 0.5246 0.4985
0.9638 0.3332 0.9998
0.9754 0.8681 0.4985
```